Structure and simulated X-ray powder pattern of Cd2AgSbPt (a crystal structure in Alexandria, relaxed with GGA-PBE; Cu Kα, 1.54184 Å).
Intensities are scaled so that the largest is 100.

Structural model:
```
Cd2AgSbPt
1.0
5.125 0.000 0.000
0.000 5.125 0.000
0.000 0.000 5.174
Cd Ag Sb Pt
2 1 1 1
Cartesian
0.000 2.563 0.000
2.563 0.000 0.000
0.000 0.000 2.587
2.563 2.563 2.587
0.000 0.000 0.000
```

Principal peaks in the range 10° ≤ 2θ ≤ 90°, low angle first:
17.1°, I 23; 17.3°, I 44; 24.4°, I 46; 30.1°, I 52; 34.7°, I 51; 35.0°, I 100; 39.3°, I 23; 50.1°, I 71; 50.4°, I 35; 62.6°, I 36


Structure and simulated X-ray powder pattern of Pu2Cd2Ag3 (a crystal structure in Alexandria, relaxed with GGA-PBE; Cu Kα, 1.54184 Å).
Intensities are scaled so that the largest is 100.

Structural model:
```
Pu2Cd2Ag3
1.0
5.058 0.000 0.000
0.000 20.765 0.000
0.000 0.000 2.996
Pu Cd Ag
4 4 6
Cartesian
0.000 3.050 0.000
0.000 17.715 0.000
2.529 7.332 0.000
2.529 13.433 0.000
0.000 8.893 1.498
0.000 11.872 1.498
2.529 1.490 1.498
2.529 19.275 1.498
0.000 0.000 1.498
0.000 5.921 1.498
0.000 14.844 1.498
2.529 4.462 1.498
2.529 10.383 1.498
2.529 16.303 1.498
```

Principal peaks in the range 10° ≤ 2θ ≤ 90°, low angle first:
21.8°, I 12; 34.6°, I 27; 35.1°, I 100; 35.5°, I 37; 37.2°, I 49; 39.8°, I 12; 50.4°, I 18; 54.4°, I 10; 63.5°, I 18; 73.2°, I 17


Structure and simulated X-ray powder pattern of PuCd11Ag (a crystal structure in Alexandria, relaxed with GGA-PBE; Cu Kα, 1.54184 Å).
Intensities are scaled so that the largest is 100.

Structural model:
```
PuCd11Ag
1.0
2.922 -7.110 0.000
2.922 7.110 0.000
-2.921 0.000 7.096
Pu Cd Ag
1 11 1
Cartesian
0.000 0.000 0.000
-1.460 0.000 3.548
1.461 3.555 0.000
0.032 2.466 2.510
0.033 1.493 5.580
0.032 -2.466 2.510
2.889 1.493 1.516
1.461 -3.555 0.000
0.033 -1.493 5.580
2.890 2.466 4.586
2.889 -1.493 1.516
2.890 -2.466 4.586
1.461 0.000 3.548
```

Principal peaks in the range 10° ≤ 2θ ≤ 90°, low angle first:
25.0°, I 10; 30.6°, I 11; 30.8°, I 32; 35.5°, I 46; 35.7°, I 100; 40.0°, I 26; 40.1°, I 19; 57.8°, I 16; 64.1°, I 25; 75.7°, I 8


Structure and simulated X-ray powder pattern of PuCd4Ag (a crystal structure in Alexandria, relaxed with GGA-PBE; Cu Kα, 1.54184 Å).
Intensities are scaled so that the largest is 100.

Structural model:
```
PuCd4Ag
1.0
9.739 0.000 0.000
0.000 3.030 0.000
0.000 0.000 9.111
Pu Cd Ag
2 8 2
Cartesian
2.435 0.000 0.337
7.305 0.000 8.774
0.000 0.000 4.556
0.220 1.515 7.441
2.435 1.515 3.348
4.650 1.515 7.441
4.870 0.000 4.556
5.090 1.515 1.670
7.305 1.515 5.763
9.519 1.515 1.670
2.435 0.000 6.138
7.305 0.000 2.973
```

Principal peaks in the range 10° ≤ 2θ ≤ 90°, low angle first:
30.8°, I 13; 34.8°, I 100; 35.6°, I 28; 36.3°, I 61; 36.8°, I 31; 36.9°, I 41; 52.2°, I 16; 60.0°, I 21; 65.2°, I 12; 72.4°, I 18


Structure and simulated X-ray powder pattern of Pu2Cd12Ag5 (a crystal structure in Alexandria, relaxed with GGA-PBE; Cu Kα, 1.54184 Å).
Intensities are scaled so that the largest is 100.

Structural model:
```
Pu2Cd12Ag5
1.0
5.001 2.887 4.866
-5.001 2.887 4.866
0.000 -5.774 4.866
Pu Cd Ag
2 12 5
Cartesian
0.000 0.000 2.282
0.000 0.000 12.317
0.000 -2.884 4.601
-2.498 1.442 4.601
-1.482 -2.567 7.299
-2.964 0.000 7.299
-2.498 -1.442 9.998
1.482 -2.567 7.299
-1.482 2.567 7.299
2.498 1.442 4.601
2.964 0.000 7.299
1.482 2.567 7.299
2.498 -1.442 9.998
0.000 2.884 9.998
-2.500 -1.444 4.866
0.000 0.000 5.713
-2.500 1.444 9.733
0.000 2.887 4.866
0.000 0.000 8.886
```

Principal peaks in the range 10° ≤ 2θ ≤ 90°, low angle first:
31.0°, I 41; 32.1°, I 37; 35.9°, I 65; 36.2°, I 100; 36.9°, I 51; 37.1°, I 20; 40.6°, I 38; 52.5°, I 27; 64.6°, I 23; 66.1°, I 21


Structure and simulated X-ray powder pattern of PuCdAg (a crystal structure in Alexandria, relaxed with GGA-PBE; Cu Kα, 1.54184 Å).
Intensities are scaled so that the largest is 100.

Structural model:
```
PuCdAg
1.0
5.092 0.000 0.000
-2.546 4.410 0.000
0.000 0.000 3.015
Pu Cd Ag
1 1 1
Cartesian
0.000 0.000 0.000
0.000 2.940 1.507
2.546 1.470 1.507
```

Principal peaks in the range 10° ≤ 2θ ≤ 90°, low angle first:
20.1°, I 24; 35.3°, I 94; 36.1°, I 100; 51.3°, I 37; 61.5°, I 6; 63.3°, I 17; 63.8°, I 38; 72.9°, I 22; 74.5°, I 10; 85.7°, I 17


Structure and simulated X-ray powder pattern of PuCd4Ag (a crystal structure in Alexandria, relaxed with GGA-PBE; Cu Kα, 1.54184 Å).
Intensities are scaled so that the largest is 100.

Structural model:
```
PuCd4Ag
1.0
0.000 4.136 4.136
4.136 0.000 4.136
4.136 4.136 0.000
Pu Cd Ag
1 4 1
Cartesian
0.000 0.000 0.000
5.167 3.105 3.105
3.105 5.167 3.105
3.105 3.105 5.167
5.167 5.167 5.167
2.068 2.068 2.068
```

Principal peaks in the range 10° ≤ 2θ ≤ 90°, low angle first:
30.6°, I 40; 36.0°, I 100; 37.7°, I 29; 54.3°, I 16; 57.9°, I 33; 63.6°, I 26; 72.2°, I 7; 75.3°, I 11; 76.4°, I 10; 88.4°, I 8


Structure and simulated X-ray powder pattern of RbCd6Ag6 (a crystal structure in Alexandria, relaxed with GGA-PBE; Cu Kα, 1.54184 Å).
Intensities are scaled so that the largest is 100.

Structural model:
```
RbCd6Ag6
1.0
-2.851 4.974 5.072
2.851 -4.974 5.072
2.851 4.974 -5.072
Rb Cd Ag
1 6 6
Cartesian
0.000 0.000 0.000
2.851 0.000 2.054
0.000 3.472 0.000
0.000 0.000 3.571
0.000 0.000 6.574
0.000 6.477 0.000
0.000 4.974 3.019
1.426 2.487 -2.536
1.426 -2.487 2.536
2.851 2.302 0.000
-1.426 2.487 2.536
1.426 2.487 2.536
0.000 2.672 5.072
```

Principal peaks in the range 10° ≤ 2θ ≤ 90°, low angle first:
30.7°, I 24; 35.4°, I 27; 35.8°, I 52; 36.0°, I 34; 36.1°, I 68; 36.3°, I 31; 39.9°, I 40; 40.4°, I 17; 40.6°, I 100; 64.0°, I 17


Structure and simulated X-ray powder pattern of RbCd6Ag4 (a crystal structure in Alexandria, relaxed with GGA-PBE; Cu Kα, 1.54184 Å).
Intensities are scaled so that the largest is 100.

Structural model:
```
RbCd6Ag4
1.0
8.153 0.000 0.000
-4.077 7.061 0.000
0.000 0.000 4.651
Rb Cd Ag
1 6 4
Cartesian
0.000 0.000 0.000
0.000 2.862 2.326
-1.598 5.630 2.326
4.077 0.486 0.000
2.459 3.288 0.000
1.598 5.630 2.326
5.694 3.288 0.000
0.000 4.707 0.000
2.573 1.485 2.326
5.581 1.485 2.326
4.077 4.090 2.326
```

Principal peaks in the range 10° ≤ 2θ ≤ 90°, low angle first:
12.5°, I 32; 29.1°, I 19; 31.8°, I 100; 33.6°, I 42; 38.7°, I 39; 38.9°, I 81; 43.1°, I 23; 44.4°, I 21; 52.2°, I 23; 69.6°, I 20


Structure and simulated X-ray powder pattern of RbCd9Ag3 (a crystal structure in Alexandria, relaxed with GGA-PBE; Cu Kα, 1.54184 Å).
Intensities are scaled so that the largest is 100.

Structural model:
```
RbCd9Ag3
1.0
2.811 -7.346 0.000
2.811 7.346 0.000
-2.607 0.000 7.350
Rb Cd Ag
1 9 3
Cartesian
0.000 0.000 0.000
-1.303 0.000 3.675
0.174 4.710 4.771
0.214 1.670 5.723
2.841 4.710 2.579
2.801 1.670 1.627
0.214 -1.670 5.723
0.174 -4.710 4.771
2.801 -1.670 1.627
2.841 -4.710 2.579
1.405 3.673 0.000
1.405 -3.673 0.000
1.507 0.000 3.675
```

Principal peaks in the range 10° ≤ 2θ ≤ 90°, low angle first:
30.0°, I 20; 34.5°, I 100; 34.9°, I 28; 35.1°, I 22; 35.4°, I 22; 36.0°, I 35; 36.7°, I 41; 38.8°, I 60; 39.8°, I 23; 40.4°, I 40


Structure and simulated X-ray powder pattern of Rb4Cd2Ag (a crystal structure in Alexandria, relaxed with GGA-PBE; Cu Kα, 1.54184 Å).
Intensities are scaled so that the largest is 100.

Structural model:
```
Rb4Cd2Ag
1.0
7.937 0.000 0.000
3.949 8.053 0.000
3.941 2.056 10.456
Rb Cd Ag
8 4 2
Cartesian
1.974 2.454 2.742
13.853 7.655 7.714
3.954 6.304 1.418
7.917 6.889 3.916
5.936 2.462 2.722
9.891 7.647 7.734
7.911 3.220 6.540
11.873 3.805 9.038
3.945 5.054 5.228
7.873 4.970 9.902
3.969 0.000 0.000
7.954 5.139 0.554
3.963 2.205 5.818
11.864 7.904 4.639
```

Principal peaks in the range 10° ≤ 2θ ≤ 90°, low angle first:
13.5°, I 25; 22.4°, I 40; 25.8°, I 100; 27.0°, I 26; 27.2°, I 65; 28.2°, I 78; 30.8°, I 26; 30.9°, I 55; 31.5°, I 95; 43.5°, I 33


Structure and simulated X-ray powder pattern of Rb3Cd3Ag2 (a crystal structure in Alexandria, relaxed with GGA-PBE; Cu Kα, 1.54184 Å).
Intensities are scaled so that the largest is 100.

Structural model:
```
Rb3Cd3Ag2
1.0
9.613 0.000 0.000
0.000 17.519 0.000
0.000 0.000 6.883
Rb Cd Ag
12 12 8
Cartesian
0.385 1.867 0.804
0.385 6.892 0.804
1.891 4.380 4.054
2.916 13.139 0.612
4.422 10.627 4.245
4.422 15.652 4.245
5.191 1.867 2.638
5.191 6.892 2.638
6.697 4.380 6.271
7.722 13.139 2.829
9.228 10.627 6.079
9.228 15.652 6.079
1.519 13.139 3.831
1.659 0.672 4.225
1.659 8.088 4.225
3.148 9.432 0.784
3.148 16.847 0.784
3.287 4.380 0.390
6.326 13.139 6.494
6.465 0.672 6.099
6.465 8.088 6.099
7.954 9.432 2.658
7.954 16.847 2.658
8.094 4.380 3.052
1.119 10.478 2.642
1.119 15.801 2.642
3.688 1.718 6.084
3.688 7.041 6.084
5.925 10.478 0.800
5.925 15.801 0.800
8.494 1.718 4.241
8.494 7.041 4.241
```

Principal peaks in the range 10° ≤ 2θ ≤ 90°, low angle first:
15.8°, I 44; 27.5°, I 75; 28.0°, I 37; 30.5°, I 62; 30.6°, I 38; 30.8°, I 93; 31.6°, I 100; 34.4°, I 66; 39.4°, I 32; 48.6°, I 35